Record 1
Structure and theoretical powder X-ray diffraction pattern of AgSnBi (a GGA-PBE-relaxed structure; Cu Ka).

Structure:
```
data_AgSnBi
_chemical_formula_sum 'Ag4 Sn4 Bi4'
_space_group_name_H-M_alt 'F -4 3 m'
_space_group_IT_number 216
_space_group_name_Hall 'F -4 2 3'
_cell_length_a 6.958
_cell_length_b 6.958
_cell_length_c 6.958
_cell_angle_alpha 90.00
_cell_angle_beta 90.00
_cell_angle_gamma 90.00
loop_
_atom_site_label
_atom_site_type_symbol
_atom_site_fract_x
_atom_site_fract_y
_atom_site_fract_z
Ag1 Ag 0.000 0.000 0.000
Sn1 Sn 0.250 0.250 0.750
Bi1 Bi 0.250 0.250 0.250
```

Main lines, most intense first (2θ from 15° to 90°):
h k l, d [Å], I (rel.)
2 2 0, 2.460, 100
4 2 2, 1.420, 36
2 0 0, 3.479, 29
1 1 1, 4.017, 24
4 0 0, 1.740, 18
6 2 0, 1.100, 17
4 2 0, 1.556, 13
3 1 1, 2.098, 13
4 4 0, 1.230, 12
2 2 2, 2.009, 9

---

Record 2
Structure and theoretical powder X-ray diffraction pattern of Rb3TlCr2Cl9 (a GGA-PBE-relaxed structure; Cu Ka).

Structure:
```
data_Rb3TlCr2Cl9
_chemical_formula_sum 'Rb3 Tl1 Cr2 Cl9'
_space_group_name_H-M_alt 'P -3 m 1'
_space_group_IT_number 164
_space_group_name_Hall '-P 3 2"'
_cell_length_a 7.1877
_cell_length_b 7.1877
_cell_length_c 9.9139
_cell_angle_alpha 90.00
_cell_angle_beta 90.00
_cell_angle_gamma 120.00
loop_
_atom_site_label
_atom_site_type_symbol
_atom_site_fract_x
_atom_site_fract_y
_atom_site_fract_z
Rb1 Rb 0.0000 0.0000 0.0000
Rb2 Rb 0.3333 0.6667 0.7203
Tl1 Tl 0.0000 0.0000 0.5000
Cr1 Cr 0.3333 0.6667 0.1490
Cl1 Cl 0.0000 0.5000 0.0000
Cl2 Cl 0.1759 0.3518 0.2820
```

Main lines, most intense first (2θ from 15° to 90°):
h k l, d [Å], I (rel.)
2 0 2, 2.636, 100
0 1 2, 3.878, 83
1 1 0, 3.594, 61
1 0 1, 5.272, 42
2 2 0, 1.797, 29
1 2 2, 2.125, 28
0 2 1, 2.969, 23
0 2 4, 1.939, 17
0 2 3, 2.266, 16
0 4 2, 1.485, 15